No. 1
Tm3CuTe5: theoretical X-ray powder pattern (Cu Kα, 1.54184 Å), based on a crystal structure in OQMD, relaxed with GGA-PBE.
Neutral-atom scattering factors, no anomalous dispersion.

Crystal structure
```
data_Tm3CuTe5
_space_group_name_H-M_alt 'P -6 2 m'
_space_group_IT_number 189
_space_group_name_Hall 'P -6 -2'
_cell_length_a 8.6057
_cell_length_b 8.6057
_cell_length_c 4.0516
_cell_angle_alpha 90.00
_cell_angle_beta 90.00
_cell_angle_gamma 120.00
loop_
_atom_site_label
_atom_site_fract_x
_atom_site_fract_y
_atom_site_fract_z
Tm1 0.0000 0.2747 0.0000
Cu1 0.0000 0.0000 0.5000
Te1 0.0000 0.7100 0.5000
Te2 0.3333 0.6667 0.0000
```

Top 10 peaks for 5° ≤ 2θ ≤ 70°, in order of rising 2θ:
7.453 Å, 11.9 deg, I 14; 3.726 Å, 23.9 deg, I 17; 2.950 Å, 30.3 deg, I 100; 2.484 Å, 36.2 deg, I 56; 2.313 Å, 38.9 deg, I 49; 2.026 Å, 44.7 deg, I 17; 1.900 Å, 47.9 deg, I 12; 1.863 Å, 48.9 deg, I 11; 1.575 Å, 58.6 deg, I 21; 1.570 Å, 58.8 deg, I 27

---

No. 2
YTmCu2Te4: theoretical X-ray powder pattern (Cu Kα, 1.54184 Å), based on a crystal structure in OQMD, relaxed with GGA-PBE.
Neutral-atom scattering factors, no anomalous dispersion.

Crystal structure
```
data_YTmCu2Te4
_space_group_name_H-M_alt 'C m m 2'
_space_group_IT_number 35
_cell_length_a 9.7171
_cell_length_b 9.7197
_cell_length_c 4.7727
_cell_angle_alpha 90.00
_cell_angle_beta 90.00
_cell_angle_gamma 90.00
loop_
_space_group_symop_operation_xyz
'x,y,z'
'-x,-y,z'
'-x,y,z'
'x,-y,z'
'x+1/2,y+1/2,z'
'-x+1/2,-y+1/2,z'
'-x+1/2,y+1/2,z'
'x+1/2,-y+1/2,z'
loop_
_atom_site_label
_atom_site_fract_x
_atom_site_fract_y
_atom_site_fract_z
Y1 0.0000 0.0000 0.0000
Tm1 0.0000 0.5000 0.4017
Cu1 0.2500 0.2500 0.2002
Te1 0.0000 0.2021 0.4784
Te2 0.1984 0.5000 0.9245
```

Top 10 peaks for 5° ≤ 2θ ≤ 70°, in order of rising 2θ:
4.859 Å, 18.3 deg, I 16; 3.405 Å, 26.2 deg, I 100; 3.073 Å, 29.1 deg, I 30; 2.789 Å, 32.1 deg, I 25; 2.584 Å, 34.7 deg, I 64; 2.430 Å, 37.0 deg, I 51; 2.142 Å, 42.2 deg, I 24; 2.065 Å, 43.8 deg, I 49; 1.978 Å, 45.9 deg, I 18; 1.885 Å, 48.3 deg, I 15